# 1
Theoretical powder X-ray diffraction pattern
Compound: Er3Ni19B10
Radiation: Cu Kα X-rays
Structure: a crystal structure in OQMD, relaxed with GGA-PBE
Kinematic intensities with the Lorentz-polarization factor, no thermal factor.

Principal peaks in the range 5 to 70 degrees two-theta, by angle:
| two_theta | Rel. int. |
| --- | --- |
| 22.67 | 25 |
| 33.28 | 24 |
| 35.58 | 50 |
| 37.34 | 41 |
| 37.90 | 41 |
| 38.34 | 60 |
| 40.19 | 95 |
| 41.45 | 100 |
| 46.29 | 38 |
| 46.53 | 37 |
| 47.28 | 49 |
| 48.75 | 44 |

Structural model:
abc: 7.902 7.902 5.767
angles: 91.17 91.17 66.92
Fractional coordinates of all 32 atoms:
Er  0.000  0.000  0.000
Er  0.374  0.374  0.615
Er  0.626  0.626  0.385
Ni  0.000  0.000  0.500
Ni  0.045  0.517  0.302
Ni  0.122  0.623  0.926
Ni  0.162  0.162  0.704
Ni  0.182  0.182  0.271
Ni  0.230  0.711  0.301
Ni  0.289  0.770  0.699
Ni  0.377  0.878  0.074
Ni  0.378  0.378  0.127
Ni  0.483  0.955  0.698
Ni  0.517  0.045  0.302
Ni  0.622  0.622  0.873
Ni  0.623  0.122  0.926
Ni  0.711  0.230  0.301
Ni  0.770  0.289  0.699
Ni  0.818  0.818  0.729
Ni  0.838  0.838  0.296
Ni  0.878  0.377  0.074
Ni  0.955  0.483  0.698
B  0.066  0.699  0.569
B  0.143  0.350  0.975
B  0.301  0.934  0.431
B  0.350  0.143  0.975
B  0.385  0.615  0.000
B  0.615  0.385  0.000
B  0.650  0.857  0.025
B  0.699  0.066  0.569
B  0.857  0.650  0.025
B  0.934  0.301  0.431

# 2
Theoretical powder X-ray diffraction pattern
Compound: ErNi7B3
Radiation: Cu Kα X-rays
Structure: a crystal structure in OQMD, relaxed with GGA-PBE
Kinematic intensities with the Lorentz-polarization factor, no thermal factor.

Principal peaks in the range 5 to 70 degrees two-theta, by angle:
| two_theta | Rel. int. |
| --- | --- |
| 19.97 | 33 |
| 23.24 | 22 |
| 30.96 | 14 |
| 35.65 | 29 |
| 38.96 | 89 |
| 39.07 | 19 |
| 40.58 | 94 |
| 42.25 | 75 |
| 44.03 | 22 |
| 45.95 | 38 |
| 46.18 | 100 |
| 47.51 | 41 |

Structural model:
abc: 9.492 9.492 9.492
angles: 132.44 132.44 69.54
Fractional coordinates of all 44 atoms:
Er  0.091  0.341  0.750
Er  0.341  0.091  0.250
Er  0.659  0.909  0.750
Er  0.909  0.659  0.250
Ni  0.000  0.500  0.500
Ni  0.019  0.931  0.088
Ni  0.069  0.657  0.088
Ni  0.069  0.981  0.412
Ni  0.187  0.437  0.375
Ni  0.187  0.813  0.750
Ni  0.232  0.270  0.538
Ni  0.232  0.694  0.962
Ni  0.270  0.232  0.038
Ni  0.306  0.768  0.538
Ni  0.343  0.931  0.412
Ni  0.437  0.187  0.875
Ni  0.437  0.563  0.250
Ni  0.500  0.000  0.000
Ni  0.500  0.500  0.000
Ni  0.500  0.500  0.500
Ni  0.563  0.437  0.750
Ni  0.563  0.813  0.125
Ni  0.657  0.069  0.588
Ni  0.694  0.232  0.462
Ni  0.730  0.768  0.962
Ni  0.768  0.306  0.038
Ni  0.768  0.730  0.462
Ni  0.813  0.187  0.250
Ni  0.813  0.563  0.625
Ni  0.931  0.019  0.588
Ni  0.931  0.343  0.912
Ni  0.981  0.069  0.912
B  0.000  0.210  0.210
B  0.000  0.790  0.790
B  0.210  0.000  0.710
B  0.210  0.500  0.210
B  0.317  0.567  0.750
B  0.433  0.683  0.750
B  0.500  0.210  0.710
B  0.500  0.790  0.290
B  0.567  0.317  0.250
B  0.683  0.433  0.250
B  0.790  0.000  0.290
B  0.790  0.500  0.790

# 3
Theoretical powder X-ray diffraction pattern
Compound: Er4NiB13
Radiation: Cu Kα X-rays
Structure: a crystal structure in OQMD, relaxed with GGA-PBE
Kinematic intensities with the Lorentz-polarization factor, no thermal factor.

Principal peaks in the range 5 to 70 degrees two-theta, by angle:
| two_theta | Rel. int. |
| --- | --- |
| 24.49 | 39 |
| 26.09 | 59 |
| 27.44 | 97 |
| 34.91 | 16 |
| 36.09 | 39 |
| 38.22 | 100 |
| 39.19 | 21 |
| 44.10 | 22 |
| 47.69 | 28 |
| 51.86 | 37 |
| 58.96 | 40 |
| 61.32 | 21 |

Structural model:
abc: 7.269 7.269 6.830
angles: 90.00 90.00 90.00
Fractional coordinates of all 36 atoms:
Er  0.180  0.315  0.000
Er  0.185  0.320  0.500
Er  0.315  0.820  0.000
Er  0.320  0.815  0.500
Er  0.680  0.185  0.500
Er  0.685  0.180  0.000
Er  0.815  0.680  0.500
Er  0.820  0.685  0.000
Ni  0.000  0.000  0.500
Ni  0.500  0.500  0.000
B  0.000  0.000  0.000
B  0.040  0.829  0.243
B  0.040  0.829  0.757
B  0.092  0.592  0.250
B  0.092  0.592  0.750
B  0.171  0.040  0.243
B  0.171  0.040  0.757
B  0.329  0.540  0.257
B  0.329  0.540  0.743
B  0.408  0.092  0.250
B  0.408  0.092  0.750
B  0.460  0.329  0.257
B  0.460  0.329  0.743
B  0.500  0.500  0.500
B  0.540  0.671  0.257
B  0.540  0.671  0.743
B  0.592  0.908  0.250
B  0.592  0.908  0.750
B  0.671  0.460  0.257
B  0.671  0.460  0.743
B  0.829  0.960  0.243
B  0.829  0.960  0.757
B  0.908  0.408  0.250
B  0.908  0.408  0.750
B  0.960  0.171  0.243
B  0.960  0.171  0.757

# 4
Theoretical powder X-ray diffraction pattern
Compound: SmErNi8B2
Radiation: Cu Kα X-rays
Structure: a crystal structure in OQMD, relaxed with GGA-PBE
Kinematic intensities with the Lorentz-polarization factor, no thermal factor.

Principal peaks in the range 5 to 70 degrees two-theta, by angle:
| two_theta | Rel. int. |
| --- | --- |
| 20.54 | 13 |
| 32.97 | 89 |
| 35.97 | 31 |
| 38.69 | 12 |
| 41.78 | 75 |
| 43.83 | 10 |
| 44.19 | 9 |
| 44.62 | 100 |
| 52.42 | 13 |
| 62.77 | 28 |
| 65.21 | 16 |
| 69.17 | 14 |

Structural model:
abc: 4.993 4.993 6.982
angles: 90.00 90.00 120.00
Fractional coordinates of all 12 atoms:
Sm  0.000  0.000  0.000
Er  0.000  0.000  0.500
Ni  0.000  0.500  0.294
Ni  0.000  0.500  0.706
Ni  0.333  0.667  0.000
Ni  0.500  0.000  0.294
Ni  0.500  0.000  0.706
Ni  0.500  0.500  0.294
Ni  0.500  0.500  0.706
Ni  0.667  0.333  0.000
B  0.333  0.667  0.500
B  0.667  0.333  0.500

# 5
Theoretical powder X-ray diffraction pattern
Compound: ErB3O6
Radiation: Cu Kα X-rays
Structure: a crystal structure in OQMD, relaxed with GGA-PBE
Kinematic intensities with the Lorentz-polarization factor, no thermal factor.

Principal peaks in the range 5 to 70 degrees two-theta, by angle:
| two_theta | Rel. int. |
| --- | --- |
| 16.01 | 21 |
| 18.46 | 100 |
| 22.44 | 35 |
| 22.99 | 40 |
| 28.78 | 38 |
| 29.55 | 31 |
| 29.75 | 21 |
| 30.48 | 28 |
| 32.34 | 44 |
| 37.42 | 17 |
| 43.54 | 18 |
| 46.50 | 24 |

Structural model:
abc: 6.183 6.183 6.062
angles: 116.41 116.41 79.70
Fractional coordinates of all 20 atoms:
Er  0.202  0.798  0.750
Er  0.798  0.202  0.250
B  0.215  0.339  0.909
B  0.218  0.782  0.250
B  0.339  0.215  0.409
B  0.661  0.785  0.591
B  0.782  0.218  0.750
B  0.785  0.661  0.091
O  0.001  0.790  0.298
O  0.206  0.399  0.496
O  0.210  0.999  0.202
O  0.211  0.588  0.000
O  0.399  0.206  0.996
O  0.412  0.789  0.500
O  0.588  0.211  0.500
O  0.601  0.794  0.004
O  0.789  0.412  0.000
O  0.790  0.001  0.798
O  0.794  0.601  0.504
O  0.999  0.210  0.702

# 6
Theoretical powder X-ray diffraction pattern
Compound: ErB4Os
Radiation: Cu Kα X-rays
Structure: a crystal structure in OQMD, relaxed with GGA-PBE
Kinematic intensities with the Lorentz-polarization factor, no thermal factor.

Principal peaks in the range 5 to 70 degrees two-theta, by angle:
| two_theta | Rel. int. |
| --- | --- |
| 25.10 | 88 |
| 31.12 | 86 |
| 34.69 | 21 |
| 37.74 | 10 |
| 38.36 | 29 |
| 40.39 | 100 |
| 43.30 | 27 |
| 46.39 | 39 |
| 51.53 | 18 |
| 61.43 | 26 |
| 66.03 | 12 |
| 68.51 | 12 |

Structural model:
abc: 5.939 11.490 3.547
angles: 90.00 90.00 90.00
Fractional coordinates of all 24 atoms:
Er  0.128  0.150  0.000
Er  0.372  0.650  0.000
Er  0.628  0.350  0.000
Er  0.872  0.850  0.000
B  0.025  0.692  0.500
B  0.113  0.547  0.500
B  0.136  0.970  0.500
B  0.210  0.814  0.500
B  0.290  0.314  0.500
B  0.364  0.470  0.500
B  0.387  0.047  0.500
B  0.475  0.192  0.500
B  0.525  0.808  0.500
B  0.613  0.953  0.500
B  0.636  0.530  0.500
B  0.710  0.686  0.500
B  0.790  0.186  0.500
B  0.864  0.030  0.500
B  0.887  0.453  0.500
B  0.975  0.308  0.500
Os  0.141  0.406  0.000
Os  0.359  0.906  0.000
Os  0.641  0.094  0.000
Os  0.859  0.594  0.000